1.
LiFeF4: theoretical powder X-ray diffraction pattern (Cu Kα), based on a structure optimized by DFT (GGA+U).
Lines closer than 0.1° are merged.

Cell: 4.9464 6.0908 6.2127 Å, 119.35 108.99 90.00°
Space group P1 (No. 1)
Inequivalent atoms, fractional coordinates:
Li1 0.0000 0.0000 0.0000 x1
Li2 0.5000 0.5000 0.0000 x1
Fe1 0.2500 0.6595 0.5000 x1
Fe2 0.7500 0.3405 0.5000 x1
F1 0.1665 0.4990 0.7101 x1
F2 0.1872 0.9652 0.7540 x1
F3 0.3092 0.7324 0.2508 x1
F4 0.3343 0.3051 0.2894 x1
F5 0.6665 0.7111 0.7101 x1
F6 0.6872 0.2888 0.7540 x1
F7 0.8128 0.0348 0.2460 x1
F8 0.8335 0.5010 0.2899 x1

Largest 8 diffraction maxima, low angle first, 2θ from 10° to 80°:
| Position (°2θ) | I_rel |
| --- | --- |
| 17.02 | 96.8 |
| 17.65 | 100.0 |
| 23.22 | 60.2 |
| 28.30 | 59.6 |
| 36.22 | 48.0 |
| 39.27 | 31.6 |
| 45.25 | 59.0 |
| 49.45 | 23.8 |

2.
Mn4P3O12: theoretical powder X-ray diffraction pattern (Cu Kα), based on a structure optimized by DFT (GGA+U).
Lines closer than 0.1° are merged.

Cell: 6.7736 6.7736 19.5894 Å, 90.00 90.00 90.00°
Space group I-42d (No. 122)
Inequivalent atoms, fractional coordinates:
Mn1 0.0000 0.0000 0.2305 x8
Mn2 0.2487 0.7500 0.6250 x8
P1 0.0000 0.0000 0.0000 x4
P2 0.1555 0.2500 0.6250 x8
O1 0.0064 0.2012 0.6844 x16
O2 0.0657 0.6850 0.2084 x16
O3 0.0685 0.7205 0.3966 x16

Largest 8 diffraction maxima, low angle first, 2θ from 10° to 80°:
| Position (°2θ) | I_rel |
| --- | --- |
| 20.64 | 25.7 |
| 26.28 | 21.0 |
| 29.85 | 19.4 |
| 32.13 | 100.0 |
| 43.24 | 17.2 |
| 53.52 | 18.4 |
| 54.15 | 20.8 |
| 64.40 | 14.7 |

3.
Li5Mn3O8: theoretical powder X-ray diffraction pattern (Cu Kα), based on a structure optimized by DFT (GGA+U).
Lines closer than 0.1° are merged.

Cell: 10.1824 11.8394 5.0009 Å, 90.00 108.72 90.00°
Space group C2/m (No. 12)
Inequivalent atoms, fractional coordinates:
Li1 0.0000 0.2485 0.0000 x4
Li2 0.2466 0.3689 0.0043 x8
Li3 0.2474 0.5000 0.5039 x4
Li4 0.2500 0.2500 0.5000 x4
Mn1 0.0000 0.0000 0.0000 x2
Mn2 0.0000 0.1276 0.5000 x4
Mn3 0.0000 0.3732 0.5000 x4
Mn4 0.0000 0.5000 0.0000 x2
O1 0.1078 0.0000 0.7416 x4
O2 0.1099 0.1154 0.2486 x8
O3 0.1095 0.3832 0.2488 x8
O4 0.1180 0.2383 0.7225 x8
O5 0.1191 0.5000 0.7692 x4

Largest 8 diffraction maxima, low angle first, 2θ from 10° to 80°:
| Position (°2θ) | I_rel |
| --- | --- |
| 14.97 | 16.2 |
| 18.40 | 100.0 |
| 24.06 | 12.4 |
| 35.77 | 25.5 |
| 43.38 | 64.6 |
| 44.18 | 30.3 |
| 63.16 | 16.3 |
| 64.12 | 16.2 |

4.
MgCo4Ag4O8: theoretical powder X-ray diffraction pattern (Cu Kα), based on a structure optimized by DFT (GGA+U).
Lines closer than 0.1° are merged.

Cell: 5.3944 3.0423 26.8879 Å, 90.00 91.55 90.00°
Space group Cm (No. 8)
Inequivalent atoms, fractional coordinates:
Mg1 0.0000 0.0000 0.0000 x2
Co1 0.1772 0.5000 0.1018 x2
Co2 0.3447 0.5000 0.7853 x2
Co3 0.4589 0.0000 0.3241 x2
Co4 0.4853 0.0000 0.5542 x2
Ag1 0.0507 0.0000 0.2097 x2
Ag2 0.1659 0.0000 0.6697 x2
Ag3 0.3215 0.5000 0.4386 x2
Ag4 0.4899 0.0000 0.9046 x2
O1 0.0107 0.0000 0.1306 x2
O2 0.0106 0.5000 0.8220 x2
O3 0.0975 0.0000 0.2876 x2
O4 0.1557 0.0000 0.5912 x2
O5 0.1743 0.5000 0.0278 x2
O6 0.1750 0.0000 0.7476 x2
O7 0.3163 0.5000 0.5167 x2
O8 0.3187 0.5000 0.3604 x2

Largest 8 diffraction maxima, low angle first, 2θ from 10° to 80°:
| Position (°2θ) | I_rel |
| --- | --- |
| 29.92 | 100.0 |
| 34.09 | 32.6 |
| 34.45 | 93.2 |
| 34.59 | 36.3 |
| 35.46 | 55.5 |
| 36.62 | 42.0 |
| 37.66 | 54.2 |
| 59.77 | 35.7 |

5.
Li4FeOF5: theoretical powder X-ray diffraction pattern (Cu Kα), based on a structure optimized by DFT (GGA+U).
Lines closer than 0.1° are merged.

Cell: 5.1543 5.1543 14.4338 Å, 90.00 90.00 120.00°
Space group P3_1 (No. 144)
Inequivalent atoms, fractional coordinates:
Li1 0.0829 0.8472 0.0000 x3
Li2 0.0924 0.2063 0.8263 x3
Li3 0.1223 0.5522 0.6566 x3
Li4 0.4426 0.2136 0.6654 x3
Fe1 0.4703 0.2502 0.1522 x3
O1 0.4603 0.1976 0.4108 x3
F1 0.0614 0.1947 0.5741 x3
F2 0.0778 0.8890 0.7409 x3
F3 0.0795 0.5291 0.9156 x3
F4 0.0861 0.5440 0.4030 x3
F5 0.4483 0.2618 0.9052 x3

Largest 8 diffraction maxima, low angle first, 2θ from 10° to 80°:
| Position (°2θ) | I_rel |
| --- | --- |
| 18.44 | 19.9 |
| 19.89 | 39.5 |
| 20.83 | 55.0 |
| 23.43 | 38.6 |
| 27.25 | 34.0 |
| 43.13 | 100.0 |
| 62.41 | 23.5 |
| 62.88 | 25.6 |

6.
Ba2CrMoO6: theoretical powder X-ray diffraction pattern (Cu Kα), based on a structure optimized by DFT (GGA+U).
Lines closer than 0.1° are merged.

Cell: 5.8101 5.8101 8.0057 Å, 90.00 90.00 90.00°
Space group I4/mmm (No. 139)
Inequivalent atoms, fractional coordinates:
Ba1 0.0000 0.5000 0.2500 x4
Cr1 0.0000 0.0000 0.0000 x2
Mo1 0.0000 0.0000 0.5000 x2
O1 0.0000 0.0000 0.2562 x4
O2 0.2500 0.2500 0.0000 x8

Largest 8 diffraction maxima, low angle first, 2θ from 10° to 80°:
| Position (°2θ) | I_rel |
| --- | --- |
| 30.78 | 51.8 |
| 31.20 | 100.0 |
| 38.28 | 17.1 |
| 44.09 | 33.5 |
| 45.31 | 15.3 |
| 54.99 | 39.7 |
| 55.78 | 19.0 |
| 65.07 | 19.2 |

7.
MgV2Ge4O12: theoretical powder X-ray diffraction pattern (Cu Kα), based on a structure optimized by DFT (GGA+U).
Lines closer than 0.1° are merged.

Cell: 5.5613 6.8612 6.8691 Å, 80.92 73.32 73.31°
Space group P1 (No. 1)
Inequivalent atoms, fractional coordinates:
Mg1 0.0000 0.0000 0.0000 x1
V1 0.9996 0.6303 0.3690 x1
V2 0.4998 0.8160 0.1840 x1
Ge1 0.0170 0.5268 0.8855 x1
Ge2 0.4989 0.9204 0.6565 x1
Ge3 0.5016 0.3440 0.0787 x1
Ge4 0.9828 0.1135 0.4742 x1
O1 0.0259 0.3428 0.3434 x1
O2 0.0933 0.9263 0.2912 x1
O3 0.1551 0.0399 0.6696 x1
O4 0.3415 0.3957 0.8814 x1
O5 0.3919 0.5473 0.2401 x1
O6 0.4082 0.8519 0.9197 x1
O7 0.5914 0.0806 0.1479 x1
O8 0.6085 0.7597 0.4524 x1
O9 0.6581 0.1185 0.6048 x1
O10 0.8453 0.3307 0.9599 x1
O11 0.9061 0.7093 0.0733 x1
O12 0.9741 0.6584 0.6570 x1

Largest 8 diffraction maxima, low angle first, 2θ from 10° to 80°:
| Position (°2θ) | I_rel |
| --- | --- |
| 18.34 | 16.9 |
| 19.93 | 19.6 |
| 26.45 | 27.7 |
| 28.30 | 100.0 |
| 29.46 | 44.3 |
| 34.84 | 37.0 |
| 36.05 | 21.4 |
| 53.57 | 28.2 |